Record 1
Theoretical powder diffractogram of Te2MoW3Se4S2 for a wavelength of 1.5418 Å, from a cell relaxed with GGA-PBE.

Unit cell a=3.3422 b=3.3422 c=38.0818 alpha=90.00 beta=90.00 gamma=120.00
Space group P3m1 (No. 156)
Asymmetric unit:
Te 0.0000 0.0000 0.0000
Te 0.0000 0.0000 0.1001
Mo 0.0000 0.0000 0.8621
W 0.0000 0.0000 0.2379
W 0.3333 0.6667 0.0501
W 0.3333 0.6667 0.4258
Se 0.0000 0.0000 0.3818
Se 0.0000 0.0000 0.4697
Se 0.3333 0.6667 0.8184
Se 0.3333 0.6667 0.9059
S 0.3333 0.6667 0.1979
S 0.3333 0.6667 0.2779

Peak list (6 most intense, 10 to 90 degrees two-theta, in order of falling intensity)
11.6 deg, rel. 100
36.3 deg, rel. 75
44.0 deg, rel. 43
30.9 deg, rel. 38
55.0 deg, rel. 27
14.0 deg, rel. 21



Record 2
Theoretical powder diffractogram of Te2MoW3Se4S2 for a wavelength of 1.5418 Å, from a cell relaxed with GGA-PBE.

Unit cell a=3.3431 b=3.3431 c=38.7532 alpha=90.00 beta=90.00 gamma=120.00
Space group P3m1 (No. 156)
Asymmetric unit:
Te 0.0000 0.0000 0.0000
Te 0.0000 0.0000 0.0985
Mo 0.6667 0.3333 0.6735
W 0.0000 0.0000 0.2372
W 0.0000 0.0000 0.8614
W 0.6667 0.3333 0.0492
Se 0.0000 0.0000 0.6305
Se 0.0000 0.0000 0.7166
Se 0.6667 0.3333 0.1939
Se 0.6667 0.3333 0.2804
S 0.6667 0.3333 0.8221
S 0.6667 0.3333 0.9007

Peak list (6 most intense, 10 to 90 degrees two-theta, in order of falling intensity)
11.4 deg, rel. 100
36.1 deg, rel. 70
43.6 deg, rel. 43
30.9 deg, rel. 38
54.9 deg, rel. 26
13.7 deg, rel. 20



Record 3
Theoretical powder diffractogram of TeMoWSe2S for a wavelength of 1.5418 Å, from a cell relaxed with GGA-PBE.

Unit cell a=3.3407 b=3.3407 c=38.0867 alpha=90.00 beta=90.00 gamma=120.00
Space group P3m1 (No. 156)
Asymmetric unit:
Te 0.0000 0.0000 0.0000
Te 0.0000 0.0000 0.0996
Mo 0.0000 0.0000 0.4861
Mo 0.3333 0.6667 0.0498
W 0.0000 0.0000 0.8619
W 0.3333 0.6667 0.6740
Se 0.3333 0.6667 0.4424
Se 0.3333 0.6667 0.5299
Se 0.3333 0.6667 0.8179
Se 0.3333 0.6667 0.9058
S 0.0000 0.0000 0.6340
S 0.0000 0.0000 0.7140

Peak list (6 most intense, 10 to 90 degrees two-theta, in order of falling intensity)
11.6 deg, rel. 100
36.3 deg, rel. 77
30.9 deg, rel. 46
44.0 deg, rel. 46
55.0 deg, rel. 28
14.0 deg, rel. 25



Record 4
Theoretical powder diffractogram of Te2MoW3Se2S4 for a wavelength of 1.5418 Å, from a cell relaxed with GGA-PBE.

Unit cell a=3.3075 b=3.3075 c=37.6663 alpha=90.00 beta=90.00 gamma=120.00
Space group P3m1 (No. 156)
Asymmetric unit:
Te 0.0000 0.0000 0.0000
Te 0.0000 0.0000 0.1021
Mo 0.0000 0.0000 0.8631
W 0.0000 0.0000 0.4874
W 0.3333 0.6667 0.0511
W 0.3333 0.6667 0.6753
Se 0.3333 0.6667 0.8184
Se 0.3333 0.6667 0.9077
S 0.0000 0.0000 0.6346
S 0.0000 0.0000 0.7159
S 0.3333 0.6667 0.4467
S 0.3333 0.6667 0.5281

Peak list (6 most intense, 10 to 90 degrees two-theta, in order of falling intensity)
11.7 deg, rel. 100
36.7 deg, rel. 74
44.5 deg, rel. 38
31.2 deg, rel. 34
55.6 deg, rel. 23
14.1 deg, rel. 22



Record 5
Theoretical powder diffractogram of TlMo6Se4S4 for a wavelength of 1.5418 Å, from a cell relaxed with GGA-PBE.

Unit cell a=6.7988 b=6.8289 c=6.8483 alpha=91.38 beta=90.34 gamma=90.05
Space group P1 (No. 1)
Asymmetric unit:
Tl 0.0000 0.0000 0.0000
Mo 0.2397 0.4097 0.4425
Mo 0.4268 0.5570 0.7557
Mo 0.4507 0.7612 0.4129
Mo 0.5708 0.2279 0.5836
Mo 0.5952 0.4351 0.2444
Mo 0.7716 0.5830 0.5607
Se 0.1291 0.7440 0.6082
Se 0.2636 0.5983 0.1188
Se 0.3958 0.1126 0.2555
Se 0.7547 0.3879 0.8805
S 0.2622 0.2403 0.7447
S 0.6122 0.8714 0.7196
S 0.7612 0.7489 0.2552
S 0.8820 0.2729 0.4023

Peak list (6 most intense, 10 to 90 degrees two-theta, in order of falling intensity)
18.4 deg, rel. 100
13.0 deg, rel. 69
29.3 deg, rel. 58
43.7 deg, rel. 56
44.3 deg, rel. 48
44.1 deg, rel. 48



Record 6
Theoretical powder diffractogram of MoW3Se4S4 for a wavelength of 1.5418 Å, from a cell relaxed with GGA-PBE.

Unit cell a=3.2528 b=3.2528 c=36.8834 alpha=90.00 beta=90.00 gamma=120.00
Space group P3m1 (No. 156)
Asymmetric unit:
Mo 0.0000 0.0000 0.0000
W 0.0000 0.0000 0.3757
W 0.3333 0.6667 0.1879
W 0.3333 0.6667 0.5636
Se 0.3333 0.6667 0.0460
Se 0.3333 0.6667 0.3294
Se 0.3333 0.6667 0.4221
Se 0.3333 0.6667 0.9540
S 0.0000 0.0000 0.1458
S 0.0000 0.0000 0.2299
S 0.0000 0.0000 0.5216
S 0.0000 0.0000 0.6057

Peak list (6 most intense, 10 to 90 degrees two-theta, in order of falling intensity)
12.0 deg, rel. 100
37.4 deg, rel. 59
45.4 deg, rel. 35
31.8 deg, rel. 30
14.4 deg, rel. 25
56.6 deg, rel. 20



Record 7
Theoretical powder diffractogram of MoWSe3S for a wavelength of 1.5418 Å, from a cell relaxed with GGA-PBE.

Unit cell a=3.2865 b=3.2865 c=37.3572 alpha=90.00 beta=90.00 gamma=120.00
Space group P3m1 (No. 156)
Asymmetric unit:
Mo 0.0000 0.0000 0.0000
Mo 0.3333 0.6667 0.8121
W 0.0000 0.0000 0.6243
W 0.3333 0.6667 0.1879
Se 0.0000 0.0000 0.1424
Se 0.0000 0.0000 0.2333
Se 0.0000 0.0000 0.7670
Se 0.0000 0.0000 0.8573
Se 0.3333 0.6667 0.0451
Se 0.3333 0.6667 0.9548
S 0.3333 0.6667 0.5830
S 0.3333 0.6667 0.6655

Peak list (6 most intense, 10 to 90 degrees two-theta, in order of falling intensity)
11.8 deg, rel. 100
37.0 deg, rel. 69
44.8 deg, rel. 44
31.5 deg, rel. 37
56.0 deg, rel. 24
33.7 deg, rel. 15



Record 8
Theoretical powder diffractogram of Mo2WSe4S2 for a wavelength of 1.5418 Å, from a cell relaxed with GGA-PBE.

Unit cell a=3.2743 b=3.2743 c=30.2193 alpha=90.00 beta=90.00 gamma=120.00
Space group P3m1 (No. 156)
Asymmetric unit:
Mo 0.0000 0.0000 0.0000
Mo 0.3333 0.6667 0.7686
W 0.0000 0.0000 0.5373
Se 0.0000 0.0000 0.7127
Se 0.0000 0.0000 0.8246
Se 0.3333 0.6667 0.0560
Se 0.3333 0.6667 0.9440
S 0.3333 0.6667 0.4862
S 0.3333 0.6667 0.5884

Peak list (6 most intense, 10 to 90 degrees two-theta, in order of falling intensity)
11.7 deg, rel. 100
38.0 deg, rel. 46
36.4 deg, rel. 39
46.0 deg, rel. 38
31.6 deg, rel. 26
56.2 deg, rel. 24